The following is a calculated X-ray diffraction stick pattern of Pm3HoSn2C. It was derived from the PBE geometry in Alexandria, using CuKα.
Lines closer than 0.1° are merged.

The 10 most intense peaks (2θ = 10–90°), in order of rising 2θ:
- d = 8.206 Å, 10.78 deg, I 18, hkl 0 0 2
- d = 3.183 Å, 28.04 deg, I 71, hkl 1 1 2
- d = 2.735 Å, 32.74 deg, I 33, hkl 0 0 6
- d = 2.642 Å, 33.93 deg, I 100, hkl 1 1 4
- d = 2.471 Å, 36.35 deg, I 30, hkl 0 2 0
- d = 2.413 Å, 37.27 deg, I 28, hkl 2 0 0
- d = 1.834 Å, 49.72 deg, I 18, hkl 0 2 6
- d = 1.809 Å, 50.44 deg, I 20, hkl 2 0 6
- d = 1.726 Å, 53.05 deg, I 21, hkl 2 2 0
- d = 1.482 Å, 62.68 deg, I 17, hkl 1 1 10

Atomic structure:
a = 4.8252 Å, b = 4.9428 Å, c = 16.4120 Å
α = 90.00°, β = 90.00°, γ = 90.00°
Fractional positions:
1 Pm 0.0000 0.0000 0.0000
2 Pm 0.0000 0.5000 0.1609
3 Pm 0.0000 0.5000 0.8391
4 Pm 0.5000 0.0000 0.3391
5 Pm 0.5000 0.0000 0.6609
6 Pm 0.5000 0.5000 0.5000
7 Ho 0.0000 0.0000 0.5000
8 Ho 0.5000 0.5000 0.0000
9 Sn 0.0000 0.5000 0.3617
10 Sn 0.0000 0.5000 0.6383
11 Sn 0.5000 0.0000 0.1383
12 Sn 0.5000 0.0000 0.8617
13 C 0.0000 0.5000 0.0000
14 C 0.5000 0.0000 0.5000

The following is a calculated X-ray diffraction stick pattern of PrSmBr2. It was derived from the PBE geometry in Alexandria, using CuKα.
Lines closer than 0.1° are merged.

The 10 most intense peaks (2θ = 10–90°), in order of rising 2θ:
- d = 3.179 Å, 28.07 deg, I 21, hkl 1 0 1
- d = 3.120 Å, 28.61 deg, I 39, hkl 0 1 2
- d = 2.781 Å, 32.19 deg, I 100, hkl 0 1 5
- d = 2.503 Å, 35.88 deg, I 77, hkl 1 0 7
- d = 2.343 Å, 38.42 deg, I 29, hkl 0 0 12
- d = 1.847 Å, 49.33 deg, I 43, hkl 1 1 0
- d = 1.539 Å, 60.13 deg, I 18, hkl 2 0 5
- d = 1.486 Å, 62.49 deg, I 15, hkl 0 2 7
- d = 1.451 Å, 64.20 deg, I 38, hkl 1 1 12
- d = 1.182 Å, 81.40 deg, I 14, hkl 1 2 5

Atomic structure:
a = 3.6944 Å, b = 3.6944 Å, c = 28.1190 Å
α = 90.00°, β = 90.00°, γ = 120.00°
Fractional positions:
1 Pr 0.0000 0.0000 0.0000
2 Pr 0.3333 0.6667 0.6667
3 Pr 0.6667 0.3333 0.3333
4 Sm 0.0000 0.0000 0.1641
5 Sm 0.3333 0.6667 0.8308
6 Sm 0.6667 0.3333 0.4974
7 Br 0.0000 0.0000 0.5802
8 Br 0.0000 0.0000 0.7500
9 Br 0.3333 0.6667 0.2468
10 Br 0.3333 0.6667 0.4166
11 Br 0.6667 0.3333 0.0833
12 Br 0.6667 0.3333 0.9135